Computed PXRD pattern
Compound: SiH8C4Br4
Radiation: CuKα
Structure: a cell relaxed with PBE
Kinematic intensities with the Lorentz-polarization factor, no thermal factor.

Most intense lines, 2θ = 10–90°, by angle:
21.50°, rel. 18, hkl 2 1 0
22.80°, rel. 100, hkl 2 0 1
24.49°, rel. 22, hkl 0 0 2
24.78°, rel. 54, hkl 2 1 1
27.29°, rel. 24, hkl 2 2 0
32.81°, rel. 20, hkl 2 1 2
36.99°, rel. 25, hkl 2 2 2
42.15°, rel. 27, hkl 2 0 3
48.78°, rel. 15, hkl 3 3 2
55.84°, rel. 15, hkl 4 1 3

```
data_SiH8C4Br4
_cell_length_a 9.2430
_cell_length_b 9.2430
_cell_length_c 7.2709
_cell_angle_alpha 90.00
_cell_angle_beta 90.00
_cell_angle_gamma 90.00
_space_group_name_H-M_alt 'P 1'
_space_group_IT_number 1
_space_group_name_Hall 'P 1'
loop_
_atom_site_label
_atom_site_fract_x
_atom_site_fract_y
_atom_site_fract_z
Si1 0.0000 0.0000 0.0000
Si2 0.5000 0.5000 0.5000
H1 0.0177 0.1872 0.7510
H2 0.1429 0.2265 0.9322
H3 0.1872 0.9823 0.2490
H4 0.2265 0.8571 0.0678
H5 0.2735 0.3571 0.4322
H6 0.3128 0.4823 0.2510
H7 0.3571 0.7265 0.5678
H8 0.4823 0.6872 0.7490
H9 0.5177 0.3128 0.7490
H10 0.6429 0.2735 0.5678
H11 0.6872 0.5177 0.2510
H12 0.7265 0.6429 0.4322
H13 0.7735 0.1429 0.0678
H14 0.8128 0.0177 0.2490
H15 0.8571 0.7735 0.9322
H16 0.9823 0.8128 0.7510
C1 0.0926 0.1404 0.8515
C2 0.1404 0.9074 0.1485
C3 0.3596 0.4074 0.3515
C4 0.4074 0.6404 0.6485
C5 0.5926 0.3596 0.6485
C6 0.6404 0.5926 0.3515
C7 0.8596 0.0926 0.1485
C8 0.9074 0.8596 0.8515
Br1 0.0574 0.7482 0.2951
Br2 0.2482 0.5574 0.7951
Br3 0.2518 0.0574 0.7049
Br4 0.4426 0.2482 0.2049
Br5 0.5574 0.7518 0.2049
Br6 0.7482 0.9426 0.7049
Br7 0.7518 0.4426 0.7951
Br8 0.9426 0.2518 0.2951
```